Zr2N2O: theoretical X-ray diffraction stick pattern (Cu Kα, 1.54184 Å), based on a PBE-relaxed structure.
Peak positions follow from Bragg's law for the DFT cell and can differ from measured ones.

Top 10 peaks for 2θ from 10° to 80°, sorted by position:
2θ (°), I/Imax, index
21.99, 17, 2 0 2
30.45, 100, 1 1 4
32.14, 86, 0 2 0
44.81, 13, 4 0 4
44.88, 26, 2 2 -4
49.35, 30, 0 2 6
53.02, 12, 1 1 -8
56.14, 12, 5 1 -4
56.29, 24, 1 3 4
57.35, 18, 3 3 0

Crystal structure
Unit cell a=9.668 b=5.560 c=14.799 alpha=90.00 beta=90.06 gamma=90.00
Space group C2/c (No. 15)
Unique sites:
Zr: 0.002 0.001 0.142
Zr: 0.176 0.498 0.475
Zr: 0.177 0.499 0.191
N: 0.148 0.142 0.248
N: 0.162 0.206 0.582
N: 0.187 0.152 0.915
O: 0.000 0.311 0.750
O: 0.012 0.345 0.082